(1)
Pr3Br3N2: simulated powder X-ray diffraction pattern (Cu Kα, 1.54184 Å), based on a GGA-PBE-relaxed structure.
No peak broadening, texture or thermal motion is included.

Peak list (10 most intense, 2θ = 10–90°, by angle)
d (Å)	2θ/deg	I_rel
7.443	11.9	361
3.131	28.5	1000
3.055	29.2	518
2.973	30.1	307
2.892	30.9	314
2.584	34.7	640
2.442	36.8	133
2.318	38.8	251
2.020	44.9	221
1.809	50.4	278

Cell and atoms:
```
data_Pr3Br3N2
_chemical_formula_sum 'Pr6 Br6 N4'
_space_group_name_H-M_alt 'P 1'
_space_group_IT_number 1
_space_group_name_Hall 'P 1'
_cell_length_a 7.712
_cell_length_b 7.712
_cell_length_c 13.790
_cell_angle_alpha 90.00
_cell_angle_beta 90.00
_cell_angle_gamma 149.64
loop_
_atom_site_label
_atom_site_fract_x
_atom_site_fract_y
_atom_site_fract_z
Pr1 0.158 0.842 0.532
Pr2 0.158 0.842 0.968
Pr3 0.215 0.785 0.250
Pr4 0.785 0.215 0.750
Pr5 0.842 0.158 0.032
Pr6 0.842 0.158 0.468
Br1 0.132 0.868 0.750
Br2 0.432 0.568 0.622
Br3 0.432 0.568 0.878
Br4 0.568 0.432 0.122
Br5 0.568 0.432 0.378
Br6 0.868 0.132 0.250
N1 0.269 0.731 0.087
N2 0.269 0.731 0.413
N3 0.731 0.269 0.587
N4 0.731 0.269 0.913
```



(2)
Pr6S4BrN3: simulated powder X-ray diffraction pattern (Cu Kα, 1.54184 Å), based on a GGA-PBE-relaxed structure.
No peak broadening, texture or thermal motion is included.

Peak list (10 most intense, 2θ = 10–90°, by angle)
d (Å)	2θ/deg	I_rel
3.376	26.4	1000
3.356	26.6	710
3.153	28.3	316
2.832	31.6	373
2.764	32.4	211
2.682	33.4	366
2.397	37.5	202
2.034	44.5	318
2.005	45.2	189
1.743	52.5	388

Cell and atoms:
```
data_Pr6S4BrN3
_chemical_formula_sum 'Pr24 S16 Br4 N12'
_space_group_name_H-M_alt 'P 1'
_space_group_IT_number 1
_space_group_name_Hall 'P 1'
_cell_length_a 11.609
_cell_length_b 4.069
_cell_length_c 27.612
_cell_angle_alpha 90.00
_cell_angle_beta 90.00
_cell_angle_gamma 90.00
loop_
_atom_site_label
_atom_site_fract_x
_atom_site_fract_y
_atom_site_fract_z
Pr1 0.058 0.250 0.078
Pr2 0.062 0.250 0.807
Pr3 0.099 0.250 0.535
Pr4 0.126 0.250 0.283
Pr5 0.245 0.750 0.171
Pr6 0.249 0.750 0.436
Pr7 0.251 0.250 0.936
Pr8 0.255 0.250 0.671
Pr9 0.374 0.750 0.783
Pr10 0.401 0.750 0.035
Pr11 0.438 0.750 0.307
Pr12 0.442 0.750 0.578
Pr13 0.558 0.250 0.422
Pr14 0.562 0.250 0.693
Pr15 0.599 0.250 0.965
Pr16 0.626 0.250 0.217
Pr17 0.745 0.750 0.329
Pr18 0.749 0.750 0.064
Pr19 0.751 0.250 0.564
Pr20 0.755 0.250 0.829
Pr21 0.874 0.750 0.717
Pr22 0.901 0.750 0.465
Pr23 0.938 0.750 0.193
Pr24 0.942 0.750 0.922
S1 0.136 0.750 0.736
S2 0.143 0.750 0.994
S3 0.190 0.750 0.862
S4 0.206 0.750 0.602
S5 0.294 0.250 0.102
S6 0.310 0.250 0.362
S7 0.357 0.250 0.494
S8 0.364 0.250 0.236
S9 0.636 0.750 0.764
S10 0.643 0.750 0.506
S11 0.690 0.750 0.638
S12 0.706 0.750 0.898
S13 0.794 0.250 0.398
S14 0.810 0.250 0.138
S15 0.857 0.250 0.006
S16 0.864 0.250 0.264
Br1 0.040 0.750 0.363
Br2 0.460 0.250 0.863
Br3 0.540 0.750 0.137
Br4 0.960 0.250 0.637
N1 0.062 0.750 0.125
N2 0.099 0.750 0.486
N3 0.113 0.750 0.238
N4 0.387 0.250 0.738
N5 0.401 0.250 0.986
N6 0.438 0.250 0.625
N7 0.562 0.750 0.375
N8 0.599 0.750 0.014
N9 0.613 0.750 0.262
N10 0.887 0.250 0.762
N11 0.901 0.250 0.514
N12 0.938 0.250 0.875
```



(3)
Pr2TeBr2N: simulated powder X-ray diffraction pattern (Cu Kα, 1.54184 Å), based on a GGA-PBE-relaxed structure.
No peak broadening, texture or thermal motion is included.

Peak list (10 most intense, 2θ = 10–90°, by angle)
d (Å)	2θ/deg	I_rel
3.349	26.6	455
3.116	28.7	1000
2.981	30.0	351
2.742	32.7	387
2.651	33.8	358
2.643	33.9	476
2.629	34.1	469
2.523	35.6	327
2.294	39.3	337
2.094	43.2	326

Cell and atoms:
```
data_Pr2TeBr2N
_chemical_formula_sum 'Pr4 Te2 Br4 N2'
_space_group_name_H-M_alt 'P 1'
_space_group_IT_number 1
_space_group_name_Hall 'P 1'
_cell_length_a 4.187
_cell_length_b 11.162
_cell_length_c 8.488
_cell_angle_alpha 90.00
_cell_angle_beta 90.00
_cell_angle_gamma 90.00
loop_
_atom_site_label
_atom_site_fract_x
_atom_site_fract_y
_atom_site_fract_z
Pr1 0.000 0.070 0.000
Pr2 0.000 0.930 0.500
Pr3 0.500 0.216 0.365
Pr4 0.500 0.784 0.865
Te1 0.500 0.084 0.702
Te2 0.500 0.916 0.202
Br1 0.000 0.389 0.486
Br2 0.000 0.611 0.986
Br3 0.500 0.279 0.031
Br4 0.500 0.721 0.531
N1 0.000 0.106 0.333
N2 0.000 0.894 0.833
```



(4)
PtBr5N2: simulated powder X-ray diffraction pattern (Cu Kα, 1.54184 Å), based on a GGA-PBE-relaxed structure.
No peak broadening, texture or thermal motion is included.

Peak list (10 most intense, 2θ = 10–90°, by angle)
d (Å)	2θ/deg	I_rel
6.046	14.7	1000
4.729	18.8	638
3.023	29.5	763
2.838	31.5	369
2.569	34.9	362
2.188	41.3	431
2.138	42.3	190
2.069	43.8	418
1.643	56.0	200
1.444	64.6	167

Cell and atoms:
```
data_PtBr5N2
_chemical_formula_sum 'Pt2 Br10 N4'
_space_group_name_H-M_alt 'P 1'
_space_group_IT_number 1
_space_group_name_Hall 'P 1'
_cell_length_a 8.551
_cell_length_b 8.551
_cell_length_c 5.676
_cell_angle_alpha 90.00
_cell_angle_beta 90.00
_cell_angle_gamma 90.00
loop_
_atom_site_label
_atom_site_fract_x
_atom_site_fract_y
_atom_site_fract_z
Pt1 0.000 0.000 0.000
Pt2 0.500 0.500 0.500
Br1 0.000 0.000 0.500
Br2 0.205 0.205 0.000
Br3 0.205 0.795 0.000
Br4 0.295 0.295 0.500
Br5 0.295 0.705 0.500
Br6 0.500 0.500 0.000
Br7 0.705 0.295 0.500
Br8 0.705 0.705 0.500
Br9 0.795 0.205 0.000
Br10 0.795 0.795 0.000
N1 0.000 0.500 0.250
N2 0.000 0.500 0.750
N3 0.500 0.000 0.250
N4 0.500 0.000 0.750
```



(5)
Rb3Br6N: simulated powder X-ray diffraction pattern (Cu Kα, 1.54184 Å), based on a GGA-PBE-relaxed structure.
No peak broadening, texture or thermal motion is included.

Peak list (10 most intense, 2θ = 10–90°, by angle)
d (Å)	2θ/deg	I_rel
3.978	22.3	197
3.248	27.5	1000
2.813	31.8	948
2.581	34.8	360
2.165	41.7	260
1.989	45.6	556
1.696	54.1	265
1.624	56.7	154
1.465	63.5	205
1.375	68.2	164

Cell and atoms:
```
data_Rb3Br6N
_chemical_formula_sum 'Rb3 Br6 N1'
_space_group_name_H-M_alt 'P 1'
_space_group_IT_number 1
_space_group_name_Hall 'P 1'
_cell_length_a 7.956
_cell_length_b 7.956
_cell_length_c 7.956
_cell_angle_alpha 60.00
_cell_angle_beta 60.00
_cell_angle_gamma 60.00
loop_
_atom_site_label
_atom_site_fract_x
_atom_site_fract_y
_atom_site_fract_z
Rb1 0.000 0.000 0.000
Rb2 0.250 0.250 0.250
Rb3 0.750 0.750 0.750
Br1 0.287 0.287 0.713
Br2 0.287 0.713 0.287
Br3 0.287 0.713 0.713
Br4 0.713 0.287 0.287
Br5 0.713 0.287 0.713
Br6 0.713 0.713 0.287
N1 0.500 0.500 0.500
```



(6)
Re3Br10N: simulated powder X-ray diffraction pattern (Cu Kα, 1.54184 Å), based on a GGA-PBE-relaxed structure.
No peak broadening, texture or thermal motion is included.

Peak list (10 most intense, 2θ = 10–90°, by angle)
d (Å)	2θ/deg	I_rel
8.515	10.4	1000
8.072	11.0	446
7.685	11.5	708
6.478	13.7	587
3.061	29.2	162
2.562	35.0	123
2.554	35.1	190
2.492	36.0	118
2.429	37.0	132
2.251	40.0	155

Cell and atoms:
```
data_Re3Br10N
_chemical_formula_sum 'Re6 Br20 N2'
_space_group_name_H-M_alt 'P 1'
_space_group_IT_number 1
_space_group_name_Hall 'P 1'
_cell_length_a 10.499
_cell_length_b 10.499
_cell_length_c 11.478
_cell_angle_alpha 105.86
_cell_angle_beta 105.86
_cell_angle_gamma 62.29
loop_
_atom_site_label
_atom_site_fract_x
_atom_site_fract_y
_atom_site_fract_z
Re1 0.079 0.306 0.368
Re2 0.232 0.232 0.206
Re3 0.306 0.079 0.368
Re4 0.694 0.921 0.632
Re5 0.768 0.768 0.794
Re6 0.921 0.694 0.632
Br1 0.004 0.533 0.793
Br2 0.103 0.788 0.736
Br3 0.107 0.107 0.038
Br4 0.155 0.155 0.538
Br5 0.168 0.485 0.523
Br6 0.212 0.897 0.264
Br7 0.280 0.280 0.007
Br8 0.376 0.376 0.299
Br9 0.467 0.996 0.207
Br10 0.485 0.168 0.523
Br11 0.515 0.832 0.477
Br12 0.533 0.004 0.793
Br13 0.624 0.624 0.701
Br14 0.720 0.720 0.993
Br15 0.788 0.103 0.736
Br16 0.832 0.515 0.477
Br17 0.845 0.845 0.462
Br18 0.893 0.893 0.962
Br19 0.897 0.212 0.264
Br20 0.996 0.467 0.207
N1 0.449 0.551 0.000
N2 0.551 0.449 0.000
```



(7)
Ti2ReBrN: simulated powder X-ray diffraction pattern (Cu Kα, 1.54184 Å), based on a GGA-PBE-relaxed structure.
No peak broadening, texture or thermal motion is included.

Peak list (10 most intense, 2θ = 10–90°, by angle)
d (Å)	2θ/deg	I_rel
4.820	18.4	1000
4.665	19.0	247
3.408	26.1	231
3.352	26.6	174
2.410	37.3	377
2.333	38.6	171
2.155	41.9	251
2.100	43.1	232
1.676	54.8	239
1.583	58.3	193

Cell and atoms:
```
data_Ti2ReBrN
_chemical_formula_sum 'Ti2 Re1 Br1 N1'
_space_group_name_H-M_alt 'P 1'
_space_group_IT_number 1
_space_group_name_Hall 'P 1'
_cell_length_a 4.820
_cell_length_b 4.820
_cell_length_c 4.665
_cell_angle_alpha 90.00
_cell_angle_beta 90.00
_cell_angle_gamma 90.00
loop_
_atom_site_label
_atom_site_fract_x
_atom_site_fract_y
_atom_site_fract_z
Ti1 0.000 0.500 0.000
Ti2 0.500 0.000 0.000
Re1 0.000 0.000 0.000
Br1 0.000 0.000 0.500
N1 0.500 0.500 0.500
```



(8)
VS2Br2N3: simulated powder X-ray diffraction pattern (Cu Kα, 1.54184 Å), based on a GGA-PBE-relaxed structure.
No peak broadening, texture or thermal motion is included.

Peak list (10 most intense, 2θ = 10–90°, by angle)
d (Å)	2θ/deg	I_rel
8.261	10.7	1000
7.699	11.5	795
5.593	15.8	775
4.379	20.3	524
4.195	21.2	352
3.850	23.1	679
3.073	29.1	352
3.041	29.4	708
2.937	30.4	756
2.857	31.3	561

Cell and atoms:
```
data_VS2Br2N3
_chemical_formula_sum 'V2 S4 Br4 N6'
_space_group_name_H-M_alt 'P 1'
_space_group_IT_number 1
_space_group_name_Hall 'P 1'
_cell_length_a 6.040
_cell_length_b 8.031
_cell_length_c 8.388
_cell_angle_alpha 86.42
_cell_angle_beta 80.04
_cell_angle_gamma 73.49
loop_
_atom_site_label
_atom_site_fract_x
_atom_site_fract_y
_atom_site_fract_z
V1 0.238 0.004 0.367
V2 0.762 0.996 0.633
S1 0.209 0.710 0.697
S2 0.225 0.279 0.091
S3 0.775 0.721 0.909
S4 0.791 0.290 0.303
Br1 0.251 0.744 0.229
Br2 0.343 0.192 0.566
Br3 0.657 0.808 0.434
Br4 0.749 0.256 0.771
N1 0.051 0.645 0.845
N2 0.070 0.875 0.602
N3 0.333 0.118 0.200
N4 0.667 0.882 0.800
N5 0.930 0.125 0.398
N6 0.949 0.355 0.155
```



(9)
Sm2ScBr2N2: simulated powder X-ray diffraction pattern (Cu Kα, 1.54184 Å), based on a GGA-PBE-relaxed structure.
No peak broadening, texture or thermal motion is included.

Peak list (10 most intense, 2θ = 10–90°, by angle)
d (Å)	2θ/deg	I_rel
8.713	10.2	578
4.113	21.6	317
2.993	29.9	1000
2.690	33.3	948
2.467	36.4	242
2.146	42.1	515
2.116	42.7	459
1.663	55.2	439
1.507	61.5	337
1.307	72.3	256

Cell and atoms:
```
data_Sm2ScBr2N2
_chemical_formula_sum 'Sm4 Sc2 Br4 N4'
_space_group_name_H-M_alt 'P 1'
_space_group_IT_number 1
_space_group_name_Hall 'P 1'
_cell_length_a 4.232
_cell_length_b 4.232
_cell_length_c 17.426
_cell_angle_alpha 90.00
_cell_angle_beta 90.00
_cell_angle_gamma 90.00
loop_
_atom_site_label
_atom_site_fract_x
_atom_site_fract_y
_atom_site_fract_z
Sm1 0.000 0.000 0.083
Sm2 0.000 0.000 0.917
Sm3 0.500 0.500 0.417
Sm4 0.500 0.500 0.583
Sc1 0.000 0.000 0.500
Sc2 0.500 0.500 0.000
Br1 0.000 0.000 0.334
Br2 0.000 0.000 0.666
Br3 0.500 0.500 0.166
Br4 0.500 0.500 0.834
N1 0.000 0.500 0.000
N2 0.000 0.500 0.500
N3 0.500 0.000 0.000
N4 0.500 0.000 0.500
```



(10)
SeBr6N2: simulated powder X-ray diffraction pattern (Cu Kα, 1.54184 Å), based on a GGA-PBE-relaxed structure.
No peak broadening, texture or thermal motion is included.

Peak list (10 most intense, 2θ = 10–90°, by angle)
d (Å)	2θ/deg	I_rel
5.934	14.9	176
5.139	17.3	692
2.967	30.1	1000
2.569	34.9	924
2.298	39.2	352
1.817	50.2	631
1.713	53.5	180
1.549	59.7	395
1.483	62.6	213
1.149	84.3	282

Cell and atoms:
```
data_SeBr6N2
_chemical_formula_sum 'Se1 Br6 N2'
_space_group_name_H-M_alt 'P 1'
_space_group_IT_number 1
_space_group_name_Hall 'P 1'
_cell_length_a 7.267
_cell_length_b 7.267
_cell_length_c 7.267
_cell_angle_alpha 60.00
_cell_angle_beta 60.00
_cell_angle_gamma 60.00
loop_
_atom_site_label
_atom_site_fract_x
_atom_site_fract_y
_atom_site_fract_z
Se1 0.000 0.000 0.000
Br1 0.250 0.250 0.750
Br2 0.250 0.750 0.250
Br3 0.250 0.750 0.750
Br4 0.750 0.250 0.250
Br5 0.750 0.250 0.750
Br6 0.750 0.750 0.250
N1 0.250 0.250 0.250
N2 0.750 0.750 0.750
```



(11)
Sr4Br3N: simulated powder X-ray diffraction pattern (Cu Kα, 1.54184 Å), based on a GGA-PBE-relaxed structure.
No peak broadening, texture or thermal motion is included.

Peak list (10 most intense, 2θ = 10–90°, by angle)
d (Å)	2θ/deg	I_rel
7.121	12.4	1000
6.210	14.3	977
3.995	22.3	396
3.276	27.2	323
3.190	28.0	492
3.104	28.8	579
3.012	29.7	489
2.670	33.6	655
2.609	34.4	347
2.542	35.3	505

Cell and atoms:
```
data_Sr4Br3N
_chemical_formula_sum 'Sr8 Br6 N2'
_space_group_name_H-M_alt 'P 1'
_space_group_IT_number 1
_space_group_name_Hall 'P 1'
_cell_length_a 8.060
_cell_length_b 10.436
_cell_length_c 9.741
_cell_angle_alpha 90.00
_cell_angle_beta 90.00
_cell_angle_gamma 90.00
loop_
_atom_site_label
_atom_site_fract_x
_atom_site_fract_y
_atom_site_fract_z
Sr1 0.000 0.194 0.000
Sr2 0.000 0.806 0.000
Sr3 0.239 0.000 0.271
Sr4 0.261 0.500 0.771
Sr5 0.500 0.306 0.500
Sr6 0.500 0.694 0.500
Sr7 0.739 0.500 0.771
Sr8 0.761 0.000 0.271
Br1 0.000 0.286 0.691
Br2 0.000 0.500 0.032
Br3 0.000 0.714 0.691
Br4 0.500 0.000 0.532
Br5 0.500 0.214 0.191
Br6 0.500 0.786 0.191
N1 0.000 0.000 0.126
N2 0.500 0.500 0.626
```



(12)
Tb2BrN: simulated powder X-ray diffraction pattern (Cu Kα, 1.54184 Å), based on a GGA-PBE-relaxed structure.
No peak broadening, texture or thermal motion is included.

Peak list (10 most intense, 2θ = 10–90°, by angle)
d (Å)	2θ/deg	I_rel
3.088	28.9	527
2.693	33.3	895
2.519	35.6	1000
2.370	38.0	290
1.802	50.7	448
1.761	51.9	179
1.498	62.0	152
1.466	63.5	183
1.434	65.0	364
1.137	85.4	163

Cell and atoms:
```
data_Tb2BrN
_chemical_formula_sum 'Tb6 Br3 N3'
_space_group_name_H-M_alt 'P 1'
_space_group_IT_number 1
_space_group_name_Hall 'P 1'
_cell_length_a 3.604
_cell_length_b 3.604
_cell_length_c 21.328
_cell_angle_alpha 90.00
_cell_angle_beta 90.00
_cell_angle_gamma 120.00
loop_
_atom_site_label
_atom_site_fract_x
_atom_site_fract_y
_atom_site_fract_z
Tb1 0.000 0.000 0.000
Tb2 0.000 0.000 0.214
Tb3 0.333 0.667 0.667
Tb4 0.333 0.667 0.881
Tb5 0.667 0.333 0.333
Tb6 0.667 0.333 0.547
Br1 0.000 0.000 0.440
Br2 0.333 0.667 0.107
Br3 0.667 0.333 0.773
N1 0.000 0.000 0.611
N2 0.333 0.667 0.278
N3 0.667 0.333 0.944
```